# GaPdF5
Calculated powder X-ray diffraction pattern, Cu Kα (weighted mean of Kα1 and Kα2). Input: the GGA-PBE geometry in Alexandria.
Peak positions follow from Bragg's law for the DFT cell and can differ from measured ones.

The 12 most intense peaks (10 to 90 degrees two-theta), low angle first:
| hkl | Position (°2θ) | I/Imax |
| --- | --- | --- |
| 0 0 2 | 22.18 | 60 |
| 0 2 0 | 27.26 | 100 |
| 0 2 2 | 35.41 | 36 |
| 1 2 1 | 38.07 | 9 |
| 0 0 4 | 45.25 | 16 |
| 1 3 0 | 48.12 | 19 |
| 2 0 0 | 48.30 | 13 |
| 0 2 4 | 53.62 | 41 |
| 2 0 2 | 53.75 | 10 |
| 2 2 0 | 56.31 | 9 |
| 1 3 4 | 68.19 | 12 |
| 2 0 4 | 68.32 | 8 |

Cell and atoms:
Unit cell a=3.769 b=6.557 c=8.017 alpha=90.00 beta=90.00 gamma=90.00
Space group Immm (No. 71)
Asymmetric unit:
Ga (0.000, 0.000, 0.000)
Pd (0.000, 0.000, 0.500)
F (0.000, 0.000, 0.234)
F (0.000, 0.299, 0.000)
F (0.000, 0.500, 0.500)